Entry 1:
# GaCu2I6
Simulated X-ray powder pattern, Cu Kα, 1.54184 Å. Input: a PBE-relaxed structure.

Main lines, in order of falling intensity (2θ = 5–70°):
2theta	I_rel
25.66	100
25.78	95
17.41	78
27.70	52
24.63	46
44.14	36
23.91	36
44.81	34

Crystal structure
abc: 10.8124 10.8124 7.2285
angles: 109.28 109.28 87.02
Fractional positions:
Ga 0.2407 0.7593 0.7500
Ga 0.7593 0.2407 0.2500
Cu 0.1866 0.3350 0.4420
Cu 0.3350 0.1866 0.9420
Cu 0.6650 0.8134 0.0580
Cu 0.8134 0.6650 0.5580
I 0.0388 0.7536 0.8686
I 0.1835 0.3494 0.7982
I 0.2407 0.5653 0.4202
I 0.2464 0.9612 0.6314
I 0.3494 0.1835 0.2982
I 0.4347 0.7593 0.0798
I 0.5653 0.2407 0.9202
I 0.6506 0.8165 0.7018
I 0.7536 0.0388 0.3686
I 0.7593 0.4347 0.5798
I 0.8165 0.6506 0.2018
I 0.9612 0.2464 0.1314

Entry 2:
# InGaCu6
Simulated X-ray powder pattern, Cu Kα, 1.54184 Å. Input: a PBE-relaxed structure.

Main lines, in order of falling intensity (2θ = 5–70°):
2theta	I_rel
44.43	100
43.49	58
42.16	41
38.85	29
68.95	16
58.66	16
37.79	11
57.89	6

Crystal structure
abc: 4.2867 5.3078 4.7606
angles: 90.00 90.00 90.00
Fractional positions:
In 0.0000 0.0000 0.0000
Ga 0.5000 0.5000 0.3149
Cu 0.0000 0.2603 0.5005
Cu 0.0000 0.5000 0.9974
Cu 0.0000 0.7397 0.5005
Cu 0.5000 0.0000 0.3555
Cu 0.5000 0.2617 0.8129
Cu 0.5000 0.7383 0.8129

Entry 3:
# InGaCu6
Simulated X-ray powder pattern, Cu Kα, 1.54184 Å. Input: a PBE-relaxed structure.

Main lines, in order of falling intensity (2θ = 5–70°):
2theta	I_rel
44.14	100
41.96	26
38.58	25
69.81	15
58.31	14
28.20	5
19.02	2
51.83	1

Crystal structure
abc: 5.3890 5.3890 4.3066
angles: 90.00 90.00 120.00
Fractional positions:
In 0.0000 0.0000 0.0000
Ga 0.6667 0.3333 0.5000
Cu 0.0039 0.5019 0.0000
Cu 0.1754 0.3508 0.5000
Cu 0.1754 0.8246 0.5000
Cu 0.4981 0.5019 0.0000
Cu 0.4981 0.9961 0.0000
Cu 0.6492 0.8246 0.5000